Diffraction record for CaMg14TiO16. The powder XRD pattern is theoretical, not measured: it uses a crystal structure in Alexandria, relaxed with PBE and Cu Kα X-rays.

Peak list (6 most intense, 2θ = 10–90°, by intensity)
2theta, I_rel
41.9, 100
60.6, 57
41.7, 51
60.7, 28
76.4, 25
36.0, 22

Crystal structure
Cell: 4.3159 8.6227 8.6631 Å, 90.00 90.00 90.00°
Sites, in units of the cell vectors:
Ca 0.0000 0.0000 0.0000
Mg 0.0000 0.2541 0.2520
Mg 0.0000 0.2541 0.7480
Mg 0.0000 0.5000 0.0000
Mg 0.0000 0.5000 0.5000
Mg 0.0000 0.7459 0.2520
Mg 0.0000 0.7459 0.7480
Mg 0.5000 0.0000 0.2526
Mg 0.5000 0.0000 0.7474
Mg 0.5000 0.2528 0.5000
Mg 0.5000 0.2562 0.0000
Mg 0.5000 0.5000 0.2505
Mg 0.5000 0.5000 0.7495
Mg 0.5000 0.7438 0.0000
Mg 0.5000 0.7472 0.5000
Ti 0.0000 0.0000 0.5000
O 0.0000 0.0000 0.2572
O 0.0000 0.0000 0.7428
O 0.0000 0.2569 0.5000
O 0.0000 0.2643 0.0000
O 0.0000 0.5000 0.2523
O 0.0000 0.5000 0.7477
O 0.0000 0.7357 0.0000
O 0.0000 0.7431 0.5000
O 0.5000 0.0000 0.0000
O 0.5000 0.0000 0.5000
O 0.5000 0.2497 0.2505
O 0.5000 0.2497 0.7495
O 0.5000 0.5000 0.0000
O 0.5000 0.5000 0.5000
O 0.5000 0.7503 0.2505
O 0.5000 0.7503 0.7495

=====

Diffraction record for AcScNi2H6. The powder XRD pattern is theoretical, not measured: it uses a crystal structure in Alexandria, relaxed with PBE and Cu Kα X-rays.

Peak list (6 most intense, 2θ = 10–90°, by intensity)
2theta, I_rel
30.8, 100
23.0, 73
39.2, 70
34.7, 58
24.7, 33
51.2, 28

Crystal structure
Cell: 6.2660 6.2660 6.2660 Å, 43.01 43.01 43.01°
Sites, in units of the cell vectors:
Ac 0.0000 0.0000 0.0000
Sc 0.5000 0.5000 0.5000
Ni 0.2107 0.2107 0.2107
Ni 0.7893 0.7893 0.7893
H 0.0791 0.5693 0.5693
H 0.4307 0.4307 0.9209
H 0.4307 0.9209 0.4307
H 0.5693 0.0791 0.5693
H 0.5693 0.5693 0.0791
H 0.9209 0.4307 0.4307

=====

Diffraction record for Ag4GeTe4. The powder XRD pattern is theoretical, not measured: it uses a crystal structure in Alexandria, relaxed with PBE and Cu Kα X-rays.

Peak list (6 most intense, 2θ = 10–90°, by intensity)
2theta, I_rel
40.9, 100
23.6, 74
22.5, 51
38.8, 38
44.1, 38
26.3, 34

Crystal structure
Cell: 7.6580 7.6580 9.2864 Å, 90.00 90.00 79.39°
Sites, in units of the cell vectors:
Ag 0.0762 0.6574 0.7500
Ag 0.1819 0.1819 0.0000
Ag 0.1819 0.1819 0.5000
Ag 0.3426 0.9238 0.7500
Ag 0.6574 0.0762 0.2500
Ag 0.8181 0.8181 0.0000
Ag 0.8181 0.8181 0.5000
Ag 0.9238 0.3426 0.2500
Ge 0.3580 0.6420 0.2500
Ge 0.6420 0.3580 0.7500
Te 0.1901 0.8099 0.0218
Te 0.1901 0.8099 0.4782
Te 0.3018 0.3164 0.7500
Te 0.3164 0.3018 0.2500
Te 0.6836 0.6982 0.7500
Te 0.6982 0.6836 0.2500
Te 0.8099 0.1901 0.5218
Te 0.8099 0.1901 0.9782

=====

Diffraction record for TmThPb6. The powder XRD pattern is theoretical, not measured: it uses a crystal structure in Alexandria, relaxed with PBE and Cu Kα X-rays.

Peak list (6 most intense, 2θ = 10–90°, by intensity)
2theta, I_rel
31.7, 100
36.7, 34
63.0, 29
53.1, 24
37.0, 17
63.4, 14

Crystal structure
Cell: 4.8972 4.8972 9.7205 Å, 90.00 90.00 90.00°
Sites, in units of the cell vectors:
Tm 0.0000 0.0000 0.0000
Th 0.0000 0.0000 0.5000
Pb 0.0000 0.5000 0.2448
Pb 0.0000 0.5000 0.7552
Pb 0.5000 0.0000 0.2448
Pb 0.5000 0.0000 0.7552
Pb 0.5000 0.5000 0.0000
Pb 0.5000 0.5000 0.5000

=====

Diffraction record for Ac4Ga2Hg5. The powder XRD pattern is theoretical, not measured: it uses a crystal structure in Alexandria, relaxed with PBE and Cu Kα X-rays.

Peak list (6 most intense, 2θ = 10–90°, by intensity)
2theta, I_rel
29.8, 100
30.4, 73
30.6, 70
36.4, 43
43.3, 34
37.0, 30

Crystal structure
Cell: 8.3120 4.1809 9.7482 Å, 90.00 93.47 90.00°
Sites, in units of the cell vectors:
Ac 0.2122 0.0000 0.1438
Ac 0.2547 0.0000 0.6191
Ac 0.7453 0.0000 0.3809
Ac 0.7878 0.0000 0.8562
Ga 0.0662 0.5000 0.3842
Ga 0.9338 0.5000 0.6158
Hg 0.1249 0.5000 0.8735
Hg 0.4129 0.5000 0.3605
Hg 0.5000 0.5000 0.0000
Hg 0.5871 0.5000 0.6395
Hg 0.8751 0.5000 0.1265

=====

Diffraction record for Ce3TmTh4Se8. The powder XRD pattern is theoretical, not measured: it uses a crystal structure in Alexandria, relaxed with PBE and Cu Kα X-rays.

Peak list (6 most intense, 2θ = 10–90°, by intensity)
2theta, I_rel
30.3, 100
42.7, 39
44.0, 36
26.4, 22
54.3, 19
70.5, 18

Crystal structure
Cell: 8.4752 8.4752 8.4752 Å, 58.16 58.16 58.16°
Sites, in units of the cell vectors:
Ce 0.0000 0.5000 0.5000
Ce 0.5000 0.0000 0.5000
Ce 0.5000 0.5000 0.0000
Tm 0.0000 0.0000 0.0000
Th 0.0000 0.0000 0.5000
Th 0.0000 0.5000 0.0000
Th 0.5000 0.0000 0.0000
Th 0.5000 0.5000 0.5000
Se 0.2429 0.2429 0.7547
Se 0.2429 0.7547 0.2429
Se 0.2453 0.7571 0.7571
Se 0.2514 0.2514 0.2514
Se 0.7486 0.7486 0.7486
Se 0.7547 0.2429 0.2429
Se 0.7571 0.2453 0.7571
Se 0.7571 0.7571 0.2453